For TiZnO2, a cell relaxed with PBE gives the computed powder X-ray diffraction pattern in this record (Cu Ka).
Lines closer than 0.1° are merged.

Peak list (10 most intense, 10 to 80 degrees two-theta, in order of rising 2θ)
2θ/deg	d (Å)	I/Imax
14.9	5.943	17.6
30.1	2.972	31.9
33.2	2.701	32.1
35.1	2.556	79.1
35.9	2.499	25.7
40.0	2.256	24.2
43.8	2.065	100.0
47.2	1.924	26.8
59.6	1.552	26.9
64.4	1.447	16.8

Crystal structure
Unit cell a=15.312 b=2.894 c=10.859 alpha=90.00 beta=129.08 gamma=90.00
Space group Cm (No. 8)
Symmetry-distinct sites (fractional):
Ti  0.000  0.000  0.000 x2
Ti  0.090  0.500  0.312 x2
Ti  0.222  0.500  0.165 x2
Ti  0.315  0.000  0.477 x2
Zn  0.033  0.500  0.542 x2
Zn  0.089  0.000  0.806 x2
Zn  0.226  0.000  0.670 x2
Zn  0.298  0.500  0.960 x2
O  0.059  0.500  0.939 x2
O  0.074  0.000  0.446 x2
O  0.240  0.000  0.029 x2
O  0.254  0.500  0.538 x2
O  0.323  0.000  0.309 x2
O  0.370  0.000  0.894 x2
O  0.442  0.500  0.582 x2
O  0.487  0.500  0.165 x2